[1]
Sn5Se5Br2: theoretical powder XRD pattern (a wavelength of 1.5418 Å), based on a crystal structure in Alexandria, relaxed with PBE.

Largest 10 diffraction maxima, in order of rising 2θ, 2θ from 10° to 90°:
13.31°, I 100
24.95°, I 31
25.33°, I 48
31.47°, I 38
33.14°, I 37
34.59°, I 23
36.88°, I 30
41.80°, I 29
43.70°, I 19
48.61°, I 26

Atomic structure:
```
Sn5Se5Br2
1.0
-4.141 4.141 6.653
4.141 -4.141 6.653
4.141 4.141 -6.653
Sn Se Br
5 5 2
direct
0.000 0.000 0.000
0.184 0.507 0.676
0.507 0.184 0.676
0.507 0.831 0.324
0.831 0.507 0.324
0.326 0.326 0.440
0.326 0.887 0.000
0.431 0.431 0.000
0.887 0.326 0.000
0.887 0.887 0.560
0.309 0.809 0.500
0.809 0.309 0.500
```

---

[2]
Pm2Pr8Pb: theoretical powder XRD pattern (a wavelength of 1.5418 Å), based on a crystal structure in Alexandria, relaxed with PBE.

Largest 10 diffraction maxima, in order of rising 2θ, 2θ from 10° to 90°:
27.87°, I 11
29.56°, I 16
30.07°, I 18
31.44°, I 31
31.60°, I 100
44.06°, I 13
46.51°, I 9
56.07°, I 24
57.22°, I 10
57.59°, I 9

Atomic structure:
```
Pm2Pr8Pb
1.0
-2.846 3.905 8.916
2.846 -3.905 8.916
2.846 3.905 -8.916
Pm Pr Pb
2 8 1
direct
0.192 0.192 0.000
0.808 0.808 0.000
0.087 0.362 0.725
0.239 0.000 0.239
0.324 0.824 0.500
0.363 0.638 0.725
0.637 0.362 0.275
0.676 0.176 0.500
0.761 0.000 0.761
0.913 0.638 0.275
0.500 0.500 0.000
```